Entry 1:
For MgCu2H4Se2O10, the GGA-PBE geometry in the Materials Project gives the simulated PXRD pattern in this record (Cu Kα X-rays).
Neutral-atom scattering factors, no anomalous dispersion.

Cell and atoms:
```
19
Lattice="5.351 0.000 0.000 -1.197 5.787 0.000 -1.691 -1.974 7.237" Properties=species:S:1:pos:R:3 pbc="T T T"
Mg 0.000 0.000 0.000
Cu 1.830 2.931 0.526
Cu 3.773 -0.920 4.202
H -1.825 1.733 5.740
H 3.240 2.238 2.618
H 2.898 0.459 6.410
H 3.981 3.513 1.987
Se 1.216 0.252 2.540
Se 0.115 3.505 5.811
O -1.584 0.894 6.196
O -1.834 3.858 5.509
O -0.198 4.705 1.503
O 0.158 0.271 3.816
O 0.764 1.460 1.379
O 0.981 3.757 4.354
O 1.147 2.291 6.789
O 1.876 -0.963 6.794
O 2.832 0.454 2.976
O 3.093 3.131 2.222
```

Most intense lines, 10° ≤ 2θ ≤ 90°, in order of falling intensity:
Position (°2θ)  d_spacing  I/Imax
22.53  3.947  100.0
15.87  5.583  53.2
29.67  3.011  51.7
23.55  3.777  48.6
24.18  3.681  42.0
17.59  5.041  30.6
32.69  2.739  30.6
33.38  2.684  25.5
31.16  2.870  24.2
31.69  2.824  23.6

Entry 2:
For CuH10Se2N2O10, the GGA-PBE geometry in the Materials Project gives the simulated PXRD pattern in this record (Cu Kα X-rays).
Neutral-atom scattering factors, no anomalous dispersion.

Cell and atoms:
```
25
Lattice="5.572 0.000 0.000 0.227 7.590 0.000 2.761 2.311 6.789" Properties=species:S:1:pos:R:3 pbc="T T T"
Cu 0.000 0.000 0.000
H 3.996 4.281 6.695
H 2.626 2.846 3.226
H 2.905 3.596 1.736
H 3.265 1.926 1.948
H 4.364 6.763 4.085
H 4.196 3.138 2.704
H 5.294 7.975 4.840
H 5.654 6.305 5.052
H 5.933 7.055 3.562
H 4.564 5.620 0.093
Se 2.735 6.578 1.796
Se 5.825 3.323 4.993
N 3.236 2.867 2.398
N 5.323 7.034 4.391
O 0.344 1.736 0.327
O 1.082 7.120 1.654
O 2.805 6.190 3.407
O 3.045 5.271 0.813
O 4.802 2.068 5.377
O 3.757 7.834 1.412
O 5.515 4.631 5.976
O 5.754 3.711 3.382
O 7.478 2.781 5.134
O 8.216 8.166 6.462
```

Most intense lines, 10° ≤ 2θ ≤ 90°, in order of falling intensity:
Position (°2θ)  d_spacing  I/Imax
14.78  5.992  100.0
12.32  7.185  37.1
25.19  3.536  30.5
22.07  4.028  27.8
32.15  2.784  20.7
25.53  3.489  19.5
31.37  2.851  19.3
24.00  3.708  16.7
22.79  3.903  12.5
28.08  3.178  11.5

Entry 3:
For Na5CuH2O4, the GGA-PBE geometry in the Materials Project gives the simulated PXRD pattern in this record (Cu Kα X-rays).
Neutral-atom scattering factors, no anomalous dispersion.

Cell and atoms:
```
48
Lattice="6.109 0.000 0.000 0.000 8.895 0.000 0.000 0.000 12.058" Properties=species:S:1:pos:R:3 pbc="T T T"
Na 0.319 2.224 0.502
Na 0.387 6.671 2.502
Na 0.528 6.671 8.792
Na 1.472 0.051 4.349
Na 1.472 4.396 4.349
Na 1.582 4.499 10.378
Na 1.582 8.844 10.378
Na 2.526 2.224 2.763
Na 2.667 2.224 8.531
Na 2.735 6.671 6.531
Na 3.374 2.224 5.527
Na 3.442 6.671 3.527
Na 3.583 6.671 9.295
Na 4.527 0.051 1.680
Na 4.527 4.396 1.680
Na 4.637 4.499 7.709
Na 4.637 8.844 7.709
Na 5.581 2.224 3.266
Na 5.722 2.224 9.556
Na 5.790 6.671 11.556
Cu 0.016 2.224 6.320
Cu 3.039 6.671 0.291
Cu 3.070 2.224 11.767
Cu 6.093 6.671 5.738
H 1.386 0.050 1.489
H 1.386 4.398 1.489
H 1.668 4.497 7.518
H 1.668 8.845 7.518
H 4.441 0.050 4.540
H 4.441 4.398 4.540
H 4.723 4.497 10.569
H 4.723 8.845 10.569
O 0.742 0.437 2.118
O 0.742 4.011 2.118
O 1.187 2.224 4.957
O 1.397 6.671 4.567
O 1.658 2.224 10.596
O 1.868 6.671 10.986
O 2.312 4.884 8.147
O 2.312 8.458 8.147
O 3.797 0.437 3.911
O 3.797 4.011 3.911
O 4.241 2.224 1.072
O 4.451 6.671 1.462
O 4.712 2.224 7.491
O 4.922 6.671 7.101
O 5.367 4.884 9.940
O 5.367 8.458 9.940
```

Most intense lines, 10° ≤ 2θ ≤ 90°, in order of falling intensity:
Position (°2θ)  d_spacing  I/Imax
19.96  4.448  100.0
40.57  2.224  93.9
35.66  2.518  93.3
35.99  2.495  82.4
25.86  3.446  75.2
24.88  3.579  74.4
42.12  2.146  71.5
34.68  2.586  64.8
26.55  3.358  59.6
16.27  5.450  51.0

Entry 4:
For NaCu2H3O10, the GGA-PBE geometry in the Materials Project gives the simulated PXRD pattern in this record (Cu Kα X-rays).
Neutral-atom scattering factors, no anomalous dispersion.

Cell and atoms:
```
16
Lattice="5.460 -2.966 0.000 5.460 2.966 0.000 -3.053 0.000 6.155" Properties=species:S:1:pos:R:3 pbc="T T T"
Na 0.000 0.000 0.000
Cu 1.203 1.483 3.078
Cu 1.203 -1.483 3.078
H 3.116 0.000 4.605
H 3.933 0.000 3.078
H 4.751 0.000 1.550
O 1.783 1.153 1.121
O 0.179 0.000 2.898
O 2.533 0.000 1.037
O 1.783 -1.153 1.121
O 2.860 0.000 3.665
O 5.007 0.000 2.490
O 6.084 1.153 5.034
O 5.334 0.000 5.118
O 7.687 0.000 3.257
O 6.084 -1.153 5.034
```

Most intense lines, 10° ≤ 2θ ≤ 90°, in order of falling intensity:
Position (°2θ)  d_spacing  I/Imax
18.14  4.891  100.0
14.39  6.155  78.5
17.44  5.085  63.5
35.39  2.536  37.5
45.17  2.007  35.2
39.36  2.289  30.7
19.95  4.450  27.7
36.75  2.446  17.1
29.01  3.078  16.9
35.02  2.562  16.7

Entry 5:
For Na2CuH4O4, the GGA-PBE geometry in the Materials Project gives the simulated PXRD pattern in this record (Cu Kα X-rays).
Neutral-atom scattering factors, no anomalous dispersion.

Cell and atoms:
```
44
Lattice="6.739 0.000 0.000 0.000 6.734 0.000 0.000 0.000 9.062" Properties=species:S:1:pos:R:3 pbc="T T T"
Na 0.010 1.404 0.000
Na 1.674 3.341 6.803
Na 1.696 6.708 2.272
Na 3.360 4.771 4.531
Na 3.380 1.963 0.000
Na 5.044 0.026 6.803
Na 5.065 3.393 2.272
Na 6.729 5.330 4.531
Cu 1.591 3.346 2.262
Cu 1.778 6.714 6.792
Cu 4.961 0.021 2.262
Cu 5.148 3.388 6.792
H 0.001 1.687 3.123
H 6.739 5.047 7.654
H 0.068 1.586 5.925
H 0.609 3.108 4.468
H 1.655 4.451 0.104
H 1.714 1.084 4.635
H 2.760 6.475 8.998
H 3.301 4.953 1.394
H 3.371 1.680 3.123
H 3.369 5.054 7.654
H 3.438 1.781 5.925
H 3.979 0.259 4.468
H 5.025 5.650 0.104
H 5.084 2.283 4.635
H 6.130 3.626 8.998
H 6.671 5.148 1.394
O 0.248 1.918 2.202
O 0.346 1.335 6.826
O 1.417 3.506 0.259
O 1.567 3.263 4.277
O 1.803 6.630 8.807
O 1.953 0.139 4.790
O 3.024 4.702 2.295
O 3.122 5.285 6.732
O 3.618 1.449 2.202
O 3.715 2.032 6.826
O 4.787 6.595 0.259
O 4.937 0.104 4.277
O 5.172 3.471 8.807
O 5.322 3.228 4.790
O 6.394 5.399 2.295
O 6.491 4.816 6.732
```

Most intense lines, 10° ≤ 2θ ≤ 90°, in order of falling intensity:
Position (°2θ)  d_spacing  I/Imax
37.77  2.382  100.0
21.07  4.217  91.0
56.02  1.642  47.5
26.46  3.368  46.6
39.79  2.265  46.3
19.59  4.531  45.1
33.14  2.703  31.4
54.48  1.684  24.8
42.90  2.108  23.3
69.55  1.352  18.7